Entry 1:
Calculated X-ray diffraction stick pattern
Compound: Fe2N
Radiation: Cu Kα
Structure: a DFT-relaxed cell (PBE, the Materials Project)
No peak broadening, texture or thermal motion is included.

Structure:
Lattice parameters (Å, degrees): 4.332 4.739 8.212 90.00 90.00 90.00
Space group P2_12_12 (No. 18)
Unique sites:
Fe (0.248, 0.165, 0.252) [4 per cell]
Fe (0.248, 0.667, 0.083) [4 per cell]
Fe (0.249, 0.669, 0.417) [4 per cell]
N (0.000, 0.000, 0.076) [2 per cell]
N (0.000, 0.500, 0.250) [2 per cell]
N (0.000, 0.500, 0.591) [2 per cell]

Largest 10 diffraction maxima, low angle first, 2θ from 10° to 90°:
29.99°, I = 2, (1 0 2); 37.96°, I = 15, (0 2 0); 41.70°, I = 20, (2 0 0); 43.53°, I = 100, (1 1 3); 57.65°, I = 19, (2 2 0); 68.58°, I = 18, (0 3 3); 77.39°, I = 16, (3 1 3); 81.16°, I = 2, (0 2 6); 83.58°, I = 14, (2 0 6); 84.82°, I = 12, (1 4 0)

***

Entry 2:
Calculated X-ray diffraction stick pattern
Compound: Fe2N
Radiation: Cu Kα
Structure: a DFT-relaxed cell (PBE, the Materials Project)
No peak broadening, texture or thermal motion is included.

Structure:
Lattice parameters (Å, degrees): 2.6159 2.6159 4.7099 90.00 90.00 120.00
Space group P-6m2 (No. 187)
Unique sites:
Fe (0.0000, 0.0000, 0.2391) [2 per cell]
N (0.3333, 0.6667, 0.5000) [1 per cell]

Largest 10 diffraction maxima, low angle first, 2θ from 10° to 90°:
18.84°, I = 1, (0 0 1); 38.22°, I = 32, (0 0 2); 39.79°, I = 100, (1 0 0); 44.37°, I = 4, (1 0 1); 56.35°, I = 80, (1 0 2); 72.23°, I = 19, (1 1 0); 73.37°, I = 1, (1 0 3); 81.80°, I = 4, (0 0 4); 84.79°, I = 17, (1 1 2); 85.78°, I = 9, (2 0 0)

***

Entry 3:
Calculated X-ray diffraction stick pattern
Compound: FeN
Radiation: Cu Kα
Structure: a DFT-relaxed cell (PBE, the Materials Project)
No peak broadening, texture or thermal motion is included.

Structure:
Lattice parameters (Å, degrees): 4.231 4.231 4.231 90.00 90.00 90.00
Space group F-43m (No. 216)
Unique sites:
Fe (0.000, 0.000, 0.000) [4 per cell]
N (0.250, 0.250, 0.750) [4 per cell]

Largest 5 diffraction maxima, low angle first, 2θ from 10° to 90°:
36.80°, I = 100, (1 1 1); 42.75°, I = 28, (2 0 0); 62.05°, I = 38, (2 2 0); 74.37°, I = 31, (3 1 1); 78.28°, I = 6, (2 2 2)

***

Entry 4:
Calculated X-ray diffraction stick pattern
Compound: Fe8N
Radiation: Cu Kα
Structure: a DFT-relaxed cell (PBE, the Materials Project)
No peak broadening, texture or thermal motion is included.

Structure:
Lattice parameters (Å, degrees): 5.696 5.696 6.231 90.00 90.00 90.00
Space group I4/mmm (No. 139)
Unique sites:
Fe (0.000, 0.000, 0.206) [4 per cell]
Fe (0.000, 0.500, 0.250) [4 per cell]
Fe (0.243, 0.243, 0.500) [8 per cell]
N (0.000, 0.000, 0.500) [2 per cell]

Largest 10 diffraction maxima, low angle first, 2θ from 10° to 90°:
43.03°, I = 100, (2 0 2); 45.01°, I = 52, (2 2 0); 46.54°, I = 5, (1 0 3); 57.23°, I = 3, (2 1 3); 59.32°, I = 8, (0 0 4); 65.55°, I = 15, (4 0 0); 75.63°, I = 3, (3 2 3); 77.46°, I = 13, (2 2 4); 81.67°, I = 26, (4 2 2); 87.05°, I = 2, (2 1 5)

***

Entry 5:
Calculated X-ray diffraction stick pattern
Compound: Fe4N
Radiation: Cu Kα
Structure: a DFT-relaxed cell (PBE, the Materials Project)
No peak broadening, texture or thermal motion is included.

Structure:
Lattice parameters (Å, degrees): 3.674 3.674 3.674 90.00 90.00 90.00
Space group Pm-3m (No. 221)
Unique sites:
Fe (0.000, 0.000, 0.000) [1 per cell]
Fe (0.000, 0.500, 0.500) [3 per cell]
N (0.500, 0.500, 0.500) [1 per cell]

Largest 6 diffraction maxima, low angle first, 2θ from 10° to 90°:
24.23°, I = 2, (1 0 0); 34.53°, I = 1, (1 1 0); 42.63°, I = 100, (1 1 1); 49.63°, I = 57, (2 0 0); 72.82°, I = 32, (2 2 0); 88.21°, I = 32, (3 1 1)

***

Entry 6:
Calculated X-ray diffraction stick pattern
Compound: FeN
Radiation: Cu Kα
Structure: a DFT-relaxed cell (PBE, the Materials Project)
No peak broadening, texture or thermal motion is included.

Structure:
Lattice parameters (Å, degrees): 2.7384 2.7384 5.0043 90.00 90.00 120.00
Space group P6_3/mmc (No. 194)
Unique sites:
Fe (0.0000, 0.0000, 0.0000) [2 per cell]
N (0.3333, 0.6667, 0.2500) [2 per cell]

Largest 10 diffraction maxima, low angle first, 2θ from 10° to 90°:
35.89°, I = 28, (0 0 2); 37.94°, I = 94, (1 0 0); 42.17°, I = 6, (1 0 1); 53.22°, I = 100, (1 0 2); 68.53°, I = 25, (1 1 0); 68.81°, I = 1, (1 0 3); 76.08°, I = 6, (0 0 4); 79.86°, I = 16, (1 1 2); 81.11°, I = 9, (2 0 0); 88.32°, I = 15, (1 0 4)

***

Entry 7:
Calculated X-ray diffraction stick pattern
Compound: Fe12N5
Radiation: Cu Kα
Structure: a DFT-relaxed cell (PBE, the Materials Project)
No peak broadening, texture or thermal motion is included.

Structure:
Lattice parameters (Å, degrees): 9.4115 9.4115 4.3078 90.00 90.00 120.00
Space group P-31m (No. 162)
Unique sites:
Fe (0.0000, 0.1658, 0.2540) [6 per cell]
Fe (0.0000, 0.3363, 0.7453) [6 per cell]
Fe (0.1728, 0.5072, 0.2477) [12 per cell]
N (0.0000, 0.0000, 0.0000) [1 per cell]
N (0.0000, 0.5000, 0.0000) [3 per cell]
N (0.1713, 0.3427, 0.5000) [6 per cell]

Largest 10 diffraction maxima, low angle first, 2θ from 10° to 90°:
30.19°, I = 2, (2 0 1); 38.25°, I = 17, (2 2 0); 41.94°, I = 21, (0 0 2); 43.84°, I = 100, (2 2 1); 58.06°, I = 18, (2 2 2); 69.15°, I = 17, (6 0 0); 77.95°, I = 16, (4 -2 3); 81.89°, I = 2, (4 4 0); 84.28°, I = 14, (6 0 2); 85.58°, I = 12, (8 -4 1)

***

Entry 8:
Calculated X-ray diffraction stick pattern
Compound: Fe4N
Radiation: Cu Kα
Structure: a DFT-relaxed cell (PBE, the Materials Project)
No peak broadening, texture or thermal motion is included.

Structure:
Lattice parameters (Å, degrees): 2.5754 2.5754 25.3729 90.00 90.00 120.00
Space group R-3m (No. 166, hexagonal axes)
Unique sites:
Fe (0.0000, 0.0000, 0.1186) [6 per cell]
Fe (0.0000, 0.0000, 0.3714) [6 per cell]
N (0.0000, 0.0000, 0.5000) [3 per cell]

Largest 10 diffraction maxima, low angle first, 2θ from 10° to 90°:
42.77°, I = 29, (0 0 12); 42.99°, I = 100, (1 0 4); 47.89°, I = 4, (1 0 7); 49.99°, I = 73, (0 1 8); 54.23°, I = 3, (0 0 15); 73.24°, I = 17, (1 0 16); 73.55°, I = 22, (1 1 0); 88.71°, I = 7, (0 1 20); 89.01°, I = 18, (1 1 12); 89.16°, I = 11, (0 2 4)

***

Entry 9:
Calculated X-ray diffraction stick pattern
Compound: Fe2N
Radiation: Cu Kα
Structure: a DFT-relaxed cell (PBE, the Materials Project)
No peak broadening, texture or thermal motion is included.

Structure:
Lattice parameters (Å, degrees): 2.8274 2.8274 4.1932 90.00 90.00 120.00
Space group P-3m1 (No. 164)
Unique sites:
Fe (0.3333, 0.6667, 0.2462) [2 per cell]
N (0.0000, 0.0000, 0.5000) [1 per cell]

Largest 10 diffraction maxima, low angle first, 2θ from 10° to 90°:
21.19°, I = 2, (0 0 1); 36.70°, I = 15, (1 0 0); 42.77°, I = 100, (1 0 1); 43.15°, I = 17, (0 0 2); 57.90°, I = 17, (0 1 2); 66.09°, I = 19, (1 1 0); 78.05°, I = 2, (2 0 0); 78.85°, I = 14, (0 1 3); 81.99°, I = 13, (0 2 1); 82.25°, I = 14, (1 1 2)

***

Entry 10:
Calculated X-ray diffraction stick pattern
Compound: FeN
Radiation: Cu Kα
Structure: a DFT-relaxed cell (PBE, the Materials Project)
No peak broadening, texture or thermal motion is included.

Structure:
Lattice parameters (Å, degrees): 4.080 4.080 4.080 90.00 90.00 90.00
Space group Fm-3m (No. 225)
Unique sites:
Fe (0.000, 0.000, 0.000) [4 per cell]
N (0.000, 0.000, 0.500) [4 per cell]

Largest 5 diffraction maxima, low angle first, 2θ from 10° to 90°:
38.20°, I = 87, (1 1 1); 44.41°, I = 100, (2 0 0); 64.61°, I = 56, (2 2 0); 77.61°, I = 31, (3 1 1); 81.77°, I = 18, (2 2 2)

***

Entry 11:
Calculated X-ray diffraction stick pattern
Compound: Fe8N3
Radiation: Cu Kα
Structure: a DFT-relaxed cell (PBE, the Materials Project)
No peak broadening, texture or thermal motion is included.

Structure:
Lattice parameters (Å, degrees): 8.614 16.222 4.684 90.00 90.03 90.00
Space group C2 (No. 5)
Unique sites:
Fe (0.122, 0.003, 0.171) [4 per cell]
Fe (0.124, 0.088, 0.661) [4 per cell]
Fe (0.124, 0.170, 0.174) [4 per cell]
Fe (0.124, 0.251, 0.665) [4 per cell]
Fe (0.124, 0.338, 0.163) [4 per cell]
Fe (0.124, 0.420, 0.672) [4 per cell]
Fe (0.125, 0.586, 0.666) [4 per cell]
Fe (0.125, 0.917, 0.661) [4 per cell]
Fe (0.126, 0.500, 0.163) [4 per cell]
Fe (0.126, 0.670, 0.166) [4 per cell]
Fe (0.126, 0.755, 0.662) [4 per cell]
Fe (0.126, 0.836, 0.172) [4 per cell]
N (0.000, 0.090, 0.000) [2 per cell]
N (0.000, 0.336, 0.500) [2 per cell]
N (0.000, 0.583, 0.000) [2 per cell]
N (0.000, 0.673, 0.500) [2 per cell]
N (0.000, 0.916, 0.000) [2 per cell]
N (0.249, 0.253, 0.999) [4 per cell]
N (0.250, 0.003, 0.494) [4 per cell]

Largest 10 diffraction maxima, low angle first, 2θ from 10° to 90°:
30.27°, I = 2, (2 2 -1); 38.44°, I = 17, (0 6 1); 41.96°, I = 22, (4 0 0); 44.01°, I = 100, (2 0 -2); 58.20°, I = 18, (4 6 1); 69.53°, I = 17, (0 6 3); 78.08°, I = 16, (6 0 2); 82.36°, I = 1, (0 12 2); 84.64°, I = 15, (4 6 3); 86.05°, I = 12, (2 12 -2)

***

Entry 12:
Calculated X-ray diffraction stick pattern
Compound: FeN
Radiation: Cu Kα
Structure: a DFT-relaxed cell (PBE, the Materials Project)
No peak broadening, texture or thermal motion is included.

Structure:
Lattice parameters (Å, degrees): 2.565 2.565 2.565 90.00 90.00 90.00
Space group Pm-3m (No. 221)
Unique sites:
Fe (0.000, 0.000, 0.000) [1 per cell]
N (0.500, 0.500, 0.500) [1 per cell]

Largest 5 diffraction maxima, low angle first, 2θ from 10° to 90°:
34.99°, I = 62, (1 0 0); 50.32°, I = 100, (1 1 0); 62.75°, I = 15, (1 1 1); 73.91°, I = 14, (2 0 0); 84.47°, I = 19, (2 1 0)

***

Entry 13:
Calculated X-ray diffraction stick pattern
Compound: NaFeN
Radiation: Cu Kα
Structure: a DFT-relaxed cell (PBE, the Materials Project)
No peak broadening, texture or thermal motion is included.

Structure:
Lattice parameters (Å, degrees): 3.0074 3.0074 9.8716 90.00 90.00 120.00
Space group P6_3mc (No. 186)
Unique sites:
Na (0.3333, 0.6667, 0.0000) [2 per cell]
Fe (0.0000, 0.0000, 0.2565) [2 per cell]
N (0.3333, 0.6667, 0.3033) [2 per cell]

Largest 10 diffraction maxima, low angle first, 2θ from 10° to 90°:
17.97°, I = 70, (0 0 2); 34.43°, I = 27, (1 0 0); 35.65°, I = 13, (1 0 1); 36.41°, I = 37, (0 0 4); 39.11°, I = 100, (1 0 2); 44.36°, I = 15, (1 0 3); 50.98°, I = 20, (1 0 4); 61.69°, I = 24, (1 1 0); 67.32°, I = 21, (1 0 6); 73.79°, I = 22, (1 1 4)

***

Entry 14:
Calculated X-ray diffraction stick pattern
Compound: NaFeN
Radiation: Cu Kα
Structure: a DFT-relaxed cell (PBE, the Materials Project)
No peak broadening, texture or thermal motion is included.

Structure:
Lattice parameters (Å, degrees): 7.765 6.643 3.470 90.00 90.05 90.00
Space group C2/m (No. 12)
Unique sites:
Na (0.214, 0.000, 0.497) [4 per cell]
Fe (0.000, 0.327, 0.000) [4 per cell]
N (0.000, 0.289, 0.500) [4 per cell]

Largest 10 diffraction maxima, low angle first, 2θ from 10° to 90°:
17.57°, I = 82, (1 1 0); 22.90°, I = 90, (2 0 0); 31.28°, I = 51, (1 1 1); 34.67°, I = 100, (2 0 -1); 35.57°, I = 93, (2 2 0); 37.28°, I = 38, (3 1 0); 37.48°, I = 38, (0 2 1); 42.45°, I = 64, (1 3 0); 46.79°, I = 33, (4 0 0); 61.22°, I = 33, (3 3 1)